# Pr5Nd7Ho
Simulated PXRD pattern, a wavelength of 1.5418 Å. Input: a crystal structure in Alexandria, relaxed with PBE.
Kinematic intensities with the Lorentz-polarization factor, no thermal factor.

Peak list (10 most intense, 15° ≤ 2θ ≤ 90°, in order of falling intensity)
| 2theta | I/Imax |
| --- | --- |
| 29.72 | 100 |
| 30.87 | 81 |
| 33.82 | 80 |
| 30.26 | 57 |
| 35.14 | 38 |
| 26.98 | 29 |
| 55.38 | 26 |
| 25.71 | 26 |
| 48.70 | 21 |
| 31.72 | 21 |

```
Pr5Nd7Ho
1.0
-3.464 5.641 6.017
3.464 -5.641 6.017
3.464 5.641 -6.017
Pr Nd Ho
5 7 1
direct
0.000 0.000 0.000
0.270 0.320 0.497
0.270 0.772 0.949
0.823 0.320 0.051
0.823 0.772 0.503
0.115 0.283 0.832
0.451 0.283 0.168
0.526 0.526 0.000
0.533 0.033 0.500
0.603 0.786 0.817
0.839 0.339 0.500
0.970 0.786 0.183
0.231 0.731 0.500
```